Record 1
Calculated powder diffractogram
Compound: HfGa3Ni12
Radiation: Cu Kα X-rays
Structure: a structure optimized by DFT (PBE)
Neutral-atom scattering factors, no anomalous dispersion.

Structure:
```
HfGa3Ni12
1.0
3.6308 0.0000 0.0000
0.0000 3.6308 0.0000
0.0000 0.0000 14.2843
Hf Ga Ni
1 3 12
direct
0.0000 0.0000 0.0000
0.0000 0.0000 0.2554
0.0000 0.0000 0.5000
0.0000 0.0000 0.7446
0.0000 0.5000 0.1330
0.0000 0.5000 0.3772
0.0000 0.5000 0.6228
0.0000 0.5000 0.8670
0.5000 0.0000 0.1330
0.5000 0.0000 0.3772
0.5000 0.0000 0.6228
0.5000 0.0000 0.8670
0.5000 0.5000 0.0000
0.5000 0.5000 0.2554
0.5000 0.5000 0.5000
0.5000 0.5000 0.7446
```

Top 10 peaks for 2θ = 15–90°, low angle first:
d = 3.631 Å, I 3, hkl 1 0 0; d = 3.519 Å, I 3, hkl 1 0 1; d = 3.237 Å, I 3, hkl 1 0 2; d = 2.260 Å, I 3, hkl 1 1 3; d = 2.085 Å, I 100, hkl 1 1 4; d = 1.815 Å, I 32, hkl 2 0 0; d = 1.786 Å, I 14, hkl 0 0 8; d = 1.284 Å, I 10, hkl 2 2 0; d = 1.273 Å, I 18, hkl 2 0 8; d = 1.093 Å, I 23, hkl 3 1 4

---

Record 2
Calculated powder diffractogram
Compound: DyIO9
Radiation: Cu Kα X-rays
Structure: a structure optimized by DFT (PBE)
Neutral-atom scattering factors, no anomalous dispersion.

Structure:
```
DyIO9
1.0
7.5059 0.0000 0.0000
0.0000 12.0307 0.0000
-6.8695 0.0000 7.9486
Dy I O
4 4 36
direct
0.1831 0.0800 0.1826
0.1831 0.4200 0.6826
0.8169 0.5800 0.3174
0.8169 0.9200 0.8174
0.0030 0.1932 0.7539
0.0030 0.3068 0.2539
0.9970 0.6932 0.7461
0.9970 0.8068 0.2461
0.0666 0.0627 0.9266
0.0666 0.4373 0.4266
0.0721 0.7174 0.4260
0.0721 0.7826 0.9260
0.2220 0.0648 0.7173
0.2220 0.4352 0.2173
0.2753 0.2268 0.4022
0.2753 0.2732 0.9022
0.2897 0.5322 0.9205
0.2897 0.9678 0.4205
0.3039 0.6753 0.2487
0.3039 0.8247 0.7487
0.4328 0.5173 0.0834
0.4328 0.9827 0.5834
0.4398 0.0762 0.8372
0.4398 0.4238 0.3372
0.4748 0.7143 0.2689
0.4748 0.7857 0.7689
0.5252 0.2143 0.2311
0.5252 0.2857 0.7311
0.5602 0.5762 0.6628
0.5602 0.9238 0.1628
0.5672 0.0173 0.4166
0.5672 0.4827 0.9166
0.6961 0.1753 0.2513
0.6961 0.3247 0.7513
0.7103 0.0322 0.5795
0.7103 0.4678 0.0795
0.7247 0.7268 0.0978
0.7247 0.7732 0.5978
0.7780 0.5648 0.7827
0.7780 0.9352 0.2827
0.9279 0.2174 0.0740
0.9279 0.2826 0.5740
0.9334 0.5627 0.5734
0.9334 0.9373 0.0734
```

Top 10 peaks for 2θ = 15–90°, low angle first:
d = 5.679 Å, I 79, hkl 1 0 0; d = 4.688 Å, I 35, hkl 1 2 -1; d = 3.974 Å, I 78, hkl 0 0 2; d = 3.275 Å, I 43, hkl 1 3 0; d = 3.180 Å, I 100, hkl 2 2 -2; d = 3.021 Å, I 52, hkl 2 2 -1; d = 2.959 Å, I 42, hkl 1 2 -3; d = 2.883 Å, I 40, hkl 2 2 -3; d = 2.565 Å, I 40, hkl 1 0 2; d = 2.317 Å, I 59, hkl 1 4 1

---

Record 3
Calculated powder diffractogram
Compound: PrCdCu
Radiation: Cu Kα X-rays
Structure: a structure optimized by DFT (PBE)
Neutral-atom scattering factors, no anomalous dispersion.

Structure:
```
PrCdCu
1.0
7.6642 0.0000 0.0000
-3.8321 6.6374 0.0000
0.0000 0.0000 4.0577
Pr Cd Cu
3 3 3
direct
0.0000 0.4123 0.0000
0.4123 0.0000 0.0000
0.5877 0.5877 0.0000
0.0000 0.7529 0.5000
0.2471 0.2471 0.5000
0.7529 0.0000 0.5000
0.0000 0.0000 0.0000
0.3333 0.6667 0.5000
0.6667 0.3333 0.5000
```

Top 10 peaks for 2θ = 15–90°, low angle first:
d = 2.786 Å, I 100, hkl 1 1 1; d = 2.569 Å, I 81, hkl 2 0 1; d = 2.509 Å, I 58, hkl 2 1 0; d = 2.212 Å, I 22, hkl 3 0 0; d = 2.134 Å, I 16, hkl 2 1 1; d = 2.029 Å, I 23, hkl 0 0 2; d = 1.676 Å, I 23, hkl 3 1 1; d = 1.578 Å, I 27, hkl 2 1 2; d = 1.426 Å, I 25, hkl 3 2 1; d = 1.364 Å, I 15, hkl 3 1 2